Calculated powder X-ray diffraction pattern
Compound: La2CuO4
Radiation: Cu Kα (weighted mean of Kα1 and Kα2)
Structure: a DFT-relaxed cell (PBE, the Materials Project)
Intensities are scaled so that the largest is 100.

The 6 most intense peaks (2θ from 10° to 90°), sorted by position:
d_spacing	I/Imax	hkl
2.904	100	1 0 3
2.835	33	1 1 0
2.108	25	0 0 6
2.004	26	2 0 0
1.691	17	1 1 6
1.650	37	2 1 3

Crystal structure
```
data_La2CuO4
_chemical_formula_sum 'La4 Cu2 O8'
_cell_length_a 4.009
_cell_length_b 4.009
_cell_length_c 12.635
_cell_angle_alpha 90.00
_cell_angle_beta 90.00
_cell_angle_gamma 90.00
_symmetry_space_group_name_H-M 'I 4/m m m'
_symmetry_Int_Tables_number 139
_symmetry_space_group_name_Hall '-I 4 2'
loop_
_atom_site_label
_atom_site_fract_x
_atom_site_fract_y
_atom_site_fract_z
La1 0.000 0.000 0.150
Cu1 0.000 0.000 0.500
O1 0.000 0.500 0.000
O2 0.000 0.500 0.250
```

Calculated powder X-ray diffraction pattern
Compound: La2Cu2O5
Radiation: Cu Kα (weighted mean of Kα1 and Kα2)
Structure: a DFT-relaxed cell (PBE, the Materials Project)
Intensities are scaled so that the largest is 100.

The 6 most intense peaks (2θ from 10° to 90°), sorted by position:
d_spacing	I/Imax	hkl
2.789	100	4 1 1
2.780	30	0 2 0
2.685	31	0 0 2
1.931	29	0 2 2
1.607	21	4 3 1
1.569	19	4 1 3

Crystal structure
```
data_La2Cu2O5
_chemical_formula_sum 'La8 Cu8 O20'
_cell_length_a 16.131
_cell_length_b 5.560
_cell_length_c 5.370
_cell_angle_alpha 90.00
_cell_angle_beta 90.00
_cell_angle_gamma 90.00
_symmetry_space_group_name_H-M 'I m a 2'
_symmetry_Int_Tables_number 46
_symmetry_space_group_name_Hall 'I 2 -2a'
loop_
_atom_site_label
_atom_site_fract_x
_atom_site_fract_y
_atom_site_fract_z
La1 0.114 0.012 0.000
Cu1 0.000 0.000 0.505
Cu2 0.250 0.535 0.972
O1 0.012 0.745 0.752
O2 0.137 0.061 0.524
O3 0.250 0.601 0.587
```

Calculated powder X-ray diffraction pattern
Compound: La3Cu4P4O2
Radiation: Cu Kα (weighted mean of Kα1 and Kα2)
Structure: a DFT-relaxed cell (PBE, the Materials Project)
Intensities are scaled so that the largest is 100.

The 6 most intense peaks (2θ from 10° to 90°), sorted by position:
d_spacing	I/Imax	hkl
3.691	58	1 0 3
2.787	100	1 0 7
2.635	59	1 1 4
2.413	78	1 1 6
2.025	65	2 0 0
1.638	40	2 1 7

Crystal structure
```
data_La3Cu4P4O2
_chemical_formula_sum 'La6 Cu8 P8 O4'
_cell_length_a 4.050
_cell_length_b 4.050
_cell_length_c 26.899
_cell_angle_alpha 90.00
_cell_angle_beta 90.00
_cell_angle_gamma 90.00
_symmetry_space_group_name_H-M 'I 4/m m m'
_symmetry_Int_Tables_number 139
_symmetry_space_group_name_Hall '-I 4 2'
loop_
_atom_site_label
_atom_site_fract_x
_atom_site_fract_y
_atom_site_fract_z
La1 0.000 0.000 0.000
La2 0.000 0.000 0.296
Cu1 0.000 0.500 0.094
P1 0.000 0.000 0.138
P2 0.000 0.000 0.458
O1 0.000 0.500 0.250
```

Calculated powder X-ray diffraction pattern
Compound: La2CuRhO6
Radiation: Cu Kα (weighted mean of Kα1 and Kα2)
Structure: a DFT-relaxed cell (PBE, the Materials Project)
Intensities are scaled so that the largest is 100.

The 6 most intense peaks (2θ from 10° to 90°), sorted by position:
d_spacing	I/Imax	hkl
3.595	10	1 1 -2
2.924	17	0 2 0
2.810	100	2 0 -2
2.025	17	2 2 -2
1.952	11	0 0 4
1.623	16	3 1 -1

Crystal structure
```
data_La2CuRhO6
_chemical_formula_sum 'La4 Cu2 Rh2 O12'
_cell_length_a 5.614
_cell_length_b 5.847
_cell_length_c 9.598
_cell_angle_alpha 90.00
_cell_angle_beta 125.58
_cell_angle_gamma 90.00
_symmetry_space_group_name_H-M 'P 1 21/c 1'
_symmetry_Int_Tables_number 14
_symmetry_space_group_name_Hall '-P 2ybc'
loop_
_atom_site_label
_atom_site_fract_x
_atom_site_fract_y
_atom_site_fract_z
La1 0.237 0.062 0.250
Cu1 0.500 0.000 0.000
Rh1 0.000 0.000 0.500
O1 0.140 0.210 0.950
O2 0.247 0.695 0.951
O3 0.348 0.029 0.752
```

Calculated powder X-ray diffraction pattern
Compound: LaCu3Ru4O12
Radiation: Cu Kα (weighted mean of Kα1 and Kα2)
Structure: a DFT-relaxed cell (PBE, the Materials Project)
Intensities are scaled so that the largest is 100.

The 6 most intense peaks (2θ from 10° to 90°), sorted by position:
d_spacing	I/Imax	hkl
5.335	5	1 1 0
2.668	100	2 2 0
1.886	24	4 0 0
1.540	46	4 2 2
1.334	12	4 4 0
1.193	17	6 2 0

Crystal structure
```
data_LaCu3Ru4O12
_chemical_formula_sum 'La2 Cu6 Ru8 O24'
_cell_length_a 7.545
_cell_length_b 7.545
_cell_length_c 7.545
_cell_angle_alpha 90.00
_cell_angle_beta 90.00
_cell_angle_gamma 90.00
_symmetry_space_group_name_H-M 'I m -3'
_symmetry_Int_Tables_number 204
_symmetry_space_group_name_Hall '-I 2 2 3'
loop_
_atom_site_label
_atom_site_fract_x
_atom_site_fract_y
_atom_site_fract_z
La1 0.000 0.000 0.000
Cu1 0.000 0.000 0.500
Ru1 0.250 0.250 0.250
O1 0.000 0.306 0.173
```

Calculated powder X-ray diffraction pattern
Compound: SrLaCuRuO6
Radiation: Cu Kα (weighted mean of Kα1 and Kα2)
Structure: a DFT-relaxed cell (PBE, the Materials Project)
Intensities are scaled so that the largest is 100.

The 6 most intense peaks (2θ from 10° to 90°), sorted by position:
d_spacing	I/Imax	hkl
2.906	24	0 2 0
2.852	27	2 0 -2
2.799	100	1 1 1
2.035	28	2 2 -2
1.927	16	0 0 4
1.656	14	1 3 -3

Crystal structure
```
data_SrLaCuRuO6
_chemical_formula_sum 'Sr2 La2 Cu2 Ru2 O12'
_cell_length_a 5.703
_cell_length_b 5.812
_cell_length_c 9.574
_cell_angle_alpha 90.00
_cell_angle_beta 126.37
_cell_angle_gamma 90.00
_symmetry_space_group_name_H-M 'P 1 c 1'
_symmetry_Int_Tables_number 7
_symmetry_space_group_name_Hall 'P -2yc'
loop_
_atom_site_label
_atom_site_fract_x
_atom_site_fract_y
_atom_site_fract_z
Sr1 0.000 0.217 0.000
La1 0.513 0.304 0.499
Cu1 0.256 0.235 0.749
Ru1 0.754 0.241 0.251
O1 0.096 0.232 0.501
O2 0.437 0.277 0.001
O3 0.516 0.053 0.297
O4 0.590 0.489 0.795
O5 0.898 0.040 0.709
O6 0.987 0.455 0.215
```

Calculated powder X-ray diffraction pattern
Compound: La2CuS2O
Radiation: Cu Kα (weighted mean of Kα1 and Kα2)
Structure: a DFT-relaxed cell (PBE, the Materials Project)
Intensities are scaled so that the largest is 100.

The 6 most intense peaks (2θ from 10° to 90°), sorted by position:
d_spacing	I/Imax	hkl
4.530	18	0 0 3
4.371	100	1 0 0
3.146	30	1 0 3
3.091	41	1 1 0
2.011	21	1 0 6
1.955	21	2 1 0

Crystal structure
```
data_La2CuS2O
_chemical_formula_sum 'La2 Cu1 S2 O1'
_cell_length_a 4.371
_cell_length_b 4.371
_cell_length_c 13.589
_cell_angle_alpha 90.00
_cell_angle_beta 90.00
_cell_angle_gamma 90.00
_symmetry_space_group_name_H-M 'P 4/m m m'
_symmetry_Int_Tables_number 123
_symmetry_space_group_name_Hall '-P 4 2'
loop_
_atom_site_label
_atom_site_fract_x
_atom_site_fract_y
_atom_site_fract_z
La1 0.000 0.000 0.157
Cu1 0.000 0.000 0.500
S1 0.000 0.000 0.346
O1 0.000 0.000 0.000
```

Calculated powder X-ray diffraction pattern
Compound: La3CuS3O2
Radiation: Cu Kα (weighted mean of Kα1 and Kα2)
Structure: a DFT-relaxed cell (PBE, the Materials Project)
Intensities are scaled so that the largest is 100.

The 6 most intense peaks (2θ from 10° to 90°), sorted by position:
d_spacing	I/Imax	hkl
3.761	49	3 0 2
2.935	49	3 1 1
2.872	100	0 1 3
2.695	36	4 0 3
2.450	34	3 1 3
1.723	28	7 1 2

Crystal structure
```
data_La3CuS3O2
_chemical_formula_sum 'La12 Cu4 S12 O8'
_cell_length_a 14.079
_cell_length_b 3.943
_cell_length_c 12.574
_cell_angle_alpha 90.00
_cell_angle_beta 90.00
_cell_angle_gamma 90.00
_symmetry_space_group_name_H-M 'P n m a'
_symmetry_Int_Tables_number 62
_symmetry_space_group_name_Hall '-P 2ac 2n'
loop_
_atom_site_label
_atom_site_fract_x
_atom_site_fract_y
_atom_site_fract_z
La1 0.078 0.250 0.100
La2 0.132 0.750 0.596
La3 0.208 0.750 0.888
Cu1 0.086 0.750 0.328
S1 0.056 0.250 0.764
S2 0.087 0.250 0.432
S3 0.218 0.750 0.212
O1 0.073 0.750 0.993
O2 0.229 0.250 0.993
```

Calculated powder X-ray diffraction pattern
Compound: La4Cu4Se3SO4
Radiation: Cu Kα (weighted mean of Kα1 and Kα2)
Structure: a DFT-relaxed cell (PBE, the Materials Project)
Intensities are scaled so that the largest is 100.

The 6 most intense peaks (2θ from 10° to 90°), sorted by position:
d_spacing	I/Imax	hkl
2.977	100	1 1 2
2.729	24	2 0 1
2.401	34	2 0 2
2.031	38	2 2 0
1.741	31	2 0 4
1.678	36	3 1 2

Crystal structure
```
data_La4Cu4Se3SO4
_chemical_formula_sum 'La4 Cu4 Se3 S1 O4'
_cell_length_a 5.744
_cell_length_b 5.744
_cell_length_c 8.753
_cell_angle_alpha 90.00
_cell_angle_beta 90.00
_cell_angle_gamma 90.00
_symmetry_space_group_name_H-M 'P 4 m m'
_symmetry_Int_Tables_number 99
_symmetry_space_group_name_Hall 'P 4 -2'
loop_
_atom_site_label
_atom_site_fract_x
_atom_site_fract_y
_atom_site_fract_z
La1 0.000 0.000 0.000
La2 0.000 0.500 0.715
La3 0.500 0.500 0.000
Cu1 0.248 0.248 0.360
Se1 0.000 0.500 0.188
Se2 0.500 0.500 0.528
S1 0.000 0.000 0.513
O1 0.250 0.250 0.857
```